Starting from the GGA-PBE geometry in Alexandria, the powder diffraction line list of GaAs was simulated for Cu Kα (λ = 1.5418 Å).
Lines closer than 0.1° are merged.

Largest 10 diffraction maxima, in order of falling intensity, 2θ = 5–70°:
34.28°, d = 2.616 Å, I = 100, hkl 1 1 3
27.94°, d = 3.193 Å, I = 87, hkl 0 2 2
45.94°, d = 1.976 Å, I = 37, hkl 1 1 5
48.81°, d = 1.866 Å, I = 36, hkl 1 3 3
26.91°, d = 3.313 Å, I = 34, hkl 1 1 1
53.17°, d = 1.723 Å, I = 31, hkl 2 2 0
51.55°, d = 1.773 Å, I = 22, hkl 0 2 6
48.35°, d = 1.883 Å, I = 21, hkl 0 4 0
58.15°, d = 1.586 Å, I = 18, hkl 1 3 5
49.41°, d = 1.844 Å, I = 18, hkl 2 0 2

Structure:
Lattice parameters (Å, degrees): 3.8748 7.5302 12.0568 90.00 90.00 90.00
Space group Fdd2 (No. 43)
One atom of each set of equivalent atoms:
Ga (0.0000, 0.0000, 0.0000) x8
As (0.0000, 0.0000, 0.6322) x8

Starting from the GGA-PBE geometry in Alexandria, the powder diffraction line list of GaAs was simulated for Cu Kα (λ = 1.5418 Å).
Lines closer than 0.1° are merged.

Largest 10 diffraction maxima, in order of falling intensity, 2θ = 5–70°:
25.37°, d = 3.510 Å, I = 100, hkl 1 1 0
44.72°, d = 2.027 Å, I = 86, hkl 3 1 0
36.55°, d = 2.459 Å, I = 67, hkl 1 1 2
25.77°, d = 3.457 Å, I = 46, hkl 0 0 2
12.80°, d = 6.914 Å, I = 45, hkl 0 0 1
36.36°, d = 2.471 Å, I = 35, hkl 2 0 -2
47.27°, d = 1.923 Å, I = 34, hkl 1 1 3
47.06°, d = 1.931 Å, I = 27, hkl 2 0 -3
52.15°, d = 1.754 Å, I = 26, hkl 3 1 -2
58.94°, d = 1.567 Å, I = 15, hkl 2 2 -2

Structure:
Lattice parameters (Å, degrees): 7.0208 4.0529 6.9137 90.00 90.38 90.00
Space group C2/m (No. 12)
One atom of each set of equivalent atoms:
Ga (0.1682, 0.0000, 0.1400) x4
As (0.1642, 0.0000, 0.7354) x4